(1)
FeHgO2F5: theoretical powder diffractogram (Cu Kα X-rays), based on a crystal structure in Alexandria, relaxed with PBE+U.
Lines closer than 0.1° are merged.

Largest 12 diffraction maxima, low angle first, 2θ = 15–90°:
15.63 deg, I 426, (1 1 0)
19.55 deg, I 600, (0 2 0)
24.54 deg, I 427, (2 0 0)
27.82 deg, I 1000, (1 1 1)
31.56 deg, I 250, (2 2 0)
39.33 deg, I 366, (2 2 1)
39.71 deg, I 458, (0 4 0)
45.27 deg, I 282, (3 1 1)
46.72 deg, I 144, (0 0 2)
47.22 deg, I 136, (2 4 0)
53.95 deg, I 162, (3 3 1)
57.44 deg, I 272, (1 5 1)

Cell and atoms:
```
data_FeHgO2F5
_symmetry_space_group_name_H-M 'P b a m'
_symmetry_Int_Tables_number 55
_symmetry_space_group_name_Hall '-P 2 2ab'
_cell_length_a 7.256
_cell_length_b 9.083
_cell_length_c 3.888
_cell_angle_alpha 90.00
_cell_angle_beta 90.00
_cell_angle_gamma 90.00
loop_
_atom_site_label
_atom_site_type_symbol
_atom_site_fract_x
_atom_site_fract_y
_atom_site_fract_z
Fe1 Fe 0.000 0.000 0.000
Hg1 Hg 0.000 0.500 0.500
O1 O 0.133 0.291 0.500
F1 F 0.000 0.000 0.500
F2 F 0.006 0.782 0.000
F3 F 0.232 0.502 0.000
```

***

(2)
V3F: theoretical powder diffractogram (Cu Kα X-rays), based on a crystal structure in Alexandria, relaxed with PBE+U.
Lines closer than 0.1° are merged.

Largest 12 diffraction maxima, low angle first, 2θ = 15–90°:
15.96 deg, I 79, (0 0 2)
25.77 deg, I 96, (1 0 1)
32.24 deg, I 424, (0 0 4)
34.57 deg, I 44, (1 0 3)
38.57 deg, I 1000, (1 1 2)
50.15 deg, I 216, (2 0 0)
60.88 deg, I 224, (2 0 4)
61.73 deg, I 214, (1 1 6)
73.65 deg, I 59, (2 2 0)
82.68 deg, I 84, (2 2 4)
86.37 deg, I 150, (3 1 2)
88.61 deg, I 71, (2 0 8)

Cell and atoms:
```
data_V3F
_symmetry_space_group_name_H-M 'I 4/m m m'
_symmetry_Int_Tables_number 139
_symmetry_space_group_name_Hall '-I 4 2'
_cell_length_a 3.638
_cell_length_b 3.638
_cell_length_c 11.108
_cell_angle_alpha 90.00
_cell_angle_beta 90.00
_cell_angle_gamma 90.00
loop_
_atom_site_label
_atom_site_type_symbol
_atom_site_fract_x
_atom_site_fract_y
_atom_site_fract_z
V1 V 0.000 0.000 0.000
V2 V 0.000 0.500 0.250
F1 F 0.000 0.000 0.500
```